Computed powder diffraction line list of CaTiBiP3O12 for a wavelength of 1.5418 Å, from a structure optimized by DFT (GGA-PBE).
Neutral-atom scattering factors, no anomalous dispersion.

Structure:
abc: 9.0850 9.0850 9.0850
angles: 59.88 59.88 59.88
Fractional positions:
Ca  0.0000  0.0000  0.0000
Ca  0.5000  0.5000  0.5000
Ti  0.1546  0.1546  0.1546
Ti  0.6546  0.6546  0.6546
Bi  0.3505  0.3505  0.3505
Bi  0.8505  0.8505  0.8505
P  0.0433  0.7709  0.4419
P  0.2709  0.5433  0.9419
P  0.4419  0.0433  0.7709
P  0.5433  0.9419  0.2709
P  0.7709  0.4419  0.0433
P  0.9419  0.2709  0.5433
O  0.0084  0.2143  0.3716
O  0.0226  0.8376  0.5763
O  0.0492  0.9294  0.2597
O  0.0763  0.3376  0.5226
O  0.1120  0.7229  0.9261
O  0.2143  0.3716  0.0084
O  0.2229  0.6120  0.4261
O  0.2597  0.0492  0.9294
O  0.3376  0.5226  0.0763
O  0.3716  0.0084  0.2143
O  0.4261  0.2229  0.6120
O  0.4294  0.5492  0.7597
O  0.5084  0.8716  0.7143
O  0.5226  0.0763  0.3376
O  0.5492  0.7597  0.4294
O  0.5763  0.0226  0.8376
O  0.6120  0.4261  0.2229
O  0.7143  0.5084  0.8716
O  0.7229  0.9261  0.1120
O  0.7597  0.4294  0.5492
O  0.8376  0.5763  0.0226
O  0.8716  0.7143  0.5084
O  0.9261  0.1120  0.7229
O  0.9294  0.2597  0.0492

The 10 most intense peaks (2θ from 10° to 90°), low angle first:
d/Å, Position (°2θ), I_rel
6.418, 13.80, 45
4.537, 19.57, 100
3.870, 22.98, 28
3.705, 24.02, 22
2.872, 31.14, 73
2.619, 34.23, 52
2.030, 44.64, 20
1.935, 46.96, 31
1.714, 53.46, 21
1.556, 59.40, 20